(1)
# KSmS2O8
Theoretical PXRD pattern, Cu Kα (λ = 1.5418 Å). Input: DFT lattice parameters and positions (PBE).
Intensities are scaled so that the largest is 100.

Top 6 peaks for 10° ≤ 2θ ≤ 90°, low angle first:
| 2θ/deg | d_spacing | I/Imax |
| --- | --- | --- |
| 10.13 | 8.730 | 100 |
| 25.91 | 3.439 | 40 |
| 27.83 | 3.206 | 57 |
| 29.64 | 3.014 | 45 |
| 40.37 | 2.234 | 17 |
| 46.88 | 1.938 | 20 |

```
data_KSmS2O8
_space_group_name_H-M_alt 'P 1'
_space_group_IT_number 1
_cell_length_a 8.736
_cell_length_b 7.247
_cell_length_c 10.657
_cell_angle_alpha 90.00
_cell_angle_beta 92.20
_cell_angle_gamma 90.00
loop_
_space_group_symop_operation_xyz
'x,y,z'
loop_
_atom_site_label
_atom_site_fract_x
_atom_site_fract_y
_atom_site_fract_z
K1 0.063 0.150 0.342
K2 0.063 0.350 0.842
K3 0.937 0.650 0.158
K4 0.937 0.850 0.658
Sm1 0.444 0.669 0.651
Sm2 0.444 0.831 0.151
Sm3 0.556 0.169 0.849
Sm4 0.556 0.331 0.349
S1 0.229 0.657 0.411
S2 0.229 0.843 0.911
S3 0.319 0.166 0.610
S4 0.319 0.334 0.110
S5 0.681 0.666 0.890
S6 0.681 0.834 0.390
S7 0.771 0.157 0.089
S8 0.771 0.343 0.589
O1 0.107 0.531 0.371
O2 0.107 0.969 0.871
O3 0.154 0.140 0.608
O4 0.154 0.360 0.108
O5 0.203 0.747 0.535
O6 0.203 0.753 0.035
O7 0.256 0.700 0.813
O8 0.256 0.800 0.313
O9 0.364 0.167 0.191
O10 0.364 0.333 0.691
O11 0.374 0.182 0.481
O12 0.374 0.318 0.981
O13 0.379 0.555 0.439
O14 0.379 0.945 0.939
O15 0.406 0.011 0.676
O16 0.406 0.489 0.176
O17 0.594 0.511 0.824
O18 0.594 0.989 0.324
O19 0.621 0.055 0.061
O20 0.621 0.445 0.561
O21 0.626 0.682 0.019
O22 0.626 0.818 0.519
O23 0.636 0.667 0.309
O24 0.636 0.833 0.809
O25 0.744 0.200 0.687
O26 0.744 0.300 0.187
O27 0.797 0.247 0.965
O28 0.797 0.253 0.465
O29 0.846 0.640 0.892
O30 0.846 0.860 0.392
O31 0.893 0.031 0.129
O32 0.893 0.469 0.629
```



(2)
# MoAs2
Theoretical PXRD pattern, Cu Kα (λ = 1.5418 Å). Input: DFT lattice parameters and positions (PBE).
Intensities are scaled so that the largest is 100.

Top 6 peaks for 10° ≤ 2θ ≤ 90°, low angle first:
| 2θ/deg | d_spacing | I/Imax |
| --- | --- | --- |
| 34.19 | 2.623 | 100 |
| 39.80 | 2.265 | 34 |
| 40.20 | 2.243 | 32 |
| 43.49 | 2.081 | 37 |
| 45.37 | 1.999 | 31 |
| 46.70 | 1.945 | 37 |

```
data_MoAs2
_space_group_name_H-M_alt 'P 1'
_space_group_IT_number 1
_cell_length_a 9.157
_cell_length_b 3.331
_cell_length_c 7.781
_cell_angle_alpha 90.00
_cell_angle_beta 119.18
_cell_angle_gamma 90.00
loop_
_space_group_symop_operation_xyz
'x,y,z'
loop_
_atom_site_label
_atom_site_fract_x
_atom_site_fract_y
_atom_site_fract_z
Mo1 0.153 0.000 0.201
Mo2 0.347 0.500 0.799
Mo3 0.653 0.500 0.201
Mo4 0.847 0.000 0.799
As1 0.098 0.500 0.894
As2 0.146 0.000 0.532
As3 0.354 0.500 0.468
As4 0.402 0.000 0.106
As5 0.598 0.000 0.894
As6 0.646 0.500 0.532
As7 0.854 0.000 0.468
As8 0.902 0.500 0.106
```



(3)
# RbPrF4
Theoretical PXRD pattern, Cu Kα (λ = 1.5418 Å). Input: DFT lattice parameters and positions (PBE).
Intensities are scaled so that the largest is 100.

Top 6 peaks for 10° ≤ 2θ ≤ 90°, low angle first:
| 2θ/deg | d_spacing | I/Imax |
| --- | --- | --- |
| 25.75 | 3.459 | 80 |
| 27.50 | 3.243 | 100 |
| 28.43 | 3.140 | 37 |
| 39.94 | 2.257 | 49 |
| 47.52 | 1.913 | 23 |
| 47.67 | 1.908 | 32 |

```
data_RbPrF4
_space_group_name_H-M_alt 'P 1'
_space_group_IT_number 1
_cell_length_a 6.495
_cell_length_b 3.841
_cell_length_c 16.349
_cell_angle_alpha 90.00
_cell_angle_beta 90.00
_cell_angle_gamma 90.00
loop_
_space_group_symop_operation_xyz
'x,y,z'
loop_
_atom_site_label
_atom_site_fract_x
_atom_site_fract_y
_atom_site_fract_z
Rb1 0.226 0.250 0.200
Rb2 0.274 0.750 0.700
Rb3 0.726 0.250 0.300
Rb4 0.774 0.750 0.800
Pr1 0.249 0.750 0.441
Pr2 0.251 0.250 0.941
Pr3 0.749 0.750 0.059
Pr4 0.751 0.250 0.559
F1 0.000 0.250 0.055
F2 0.000 0.750 0.945
F3 0.097 0.250 0.813
F4 0.113 0.250 0.370
F5 0.131 0.250 0.535
F6 0.369 0.750 0.035
F7 0.387 0.750 0.870
F8 0.403 0.750 0.313
F9 0.500 0.250 0.445
F10 0.500 0.750 0.555
F11 0.597 0.250 0.687
F12 0.613 0.250 0.130
F13 0.631 0.250 0.965
F14 0.869 0.750 0.465
F15 0.887 0.750 0.630
F16 0.903 0.750 0.187
```



(4)
# CoNiTe4
Theoretical PXRD pattern, Cu Kα (λ = 1.5418 Å). Input: DFT lattice parameters and positions (PBE).
Intensities are scaled so that the largest is 100.

Top 6 peaks for 10° ≤ 2θ ≤ 90°, low angle first:
| 2θ/deg | d_spacing | I/Imax |
| --- | --- | --- |
| 31.32 | 2.856 | 23 |
| 31.48 | 2.842 | 100 |
| 31.70 | 2.823 | 27 |
| 34.41 | 2.606 | 39 |
| 34.70 | 2.585 | 33 |
| 47.27 | 1.923 | 22 |

```
data_CoNiTe4
_space_group_name_H-M_alt 'P 1'
_space_group_IT_number 1
_cell_length_a 6.359
_cell_length_b 6.353
_cell_length_c 6.348
_cell_angle_alpha 90.00
_cell_angle_beta 90.84
_cell_angle_gamma 90.00
loop_
_space_group_symop_operation_xyz
'x,y,z'
loop_
_atom_site_label
_atom_site_fract_x
_atom_site_fract_y
_atom_site_fract_z
Co1 0.000 0.000 0.000
Co2 0.000 0.500 0.500
Ni1 0.500 0.000 0.500
Ni2 0.500 0.500 0.000
Te1 0.130 0.137 0.639
Te2 0.130 0.363 0.139
Te3 0.360 0.633 0.632
Te4 0.360 0.867 0.132
Te5 0.640 0.133 0.868
Te6 0.640 0.367 0.368
Te7 0.870 0.637 0.861
Te8 0.870 0.863 0.361
```



(5)
# CaPtO6
Theoretical PXRD pattern, Cu Kα (λ = 1.5418 Å). Input: DFT lattice parameters and positions (PBE).
Intensities are scaled so that the largest is 100.

Top 6 peaks for 10° ≤ 2θ ≤ 90°, low angle first:
| 2θ/deg | d_spacing | I/Imax |
| --- | --- | --- |
| 15.41 | 5.751 | 100 |
| 26.80 | 3.327 | 18 |
| 29.38 | 3.040 | 27 |
| 29.59 | 3.019 | 13 |
| 40.15 | 2.246 | 16 |
| 48.89 | 1.863 | 14 |

```
data_CaPtO6
_space_group_name_H-M_alt 'P 1'
_space_group_IT_number 1
_cell_length_a 6.654
_cell_length_b 6.654
_cell_length_c 7.141
_cell_angle_alpha 90.30
_cell_angle_beta 90.30
_cell_angle_gamma 120.39
loop_
_space_group_symop_operation_xyz
'x,y,z'
loop_
_atom_site_label
_atom_site_fract_x
_atom_site_fract_y
_atom_site_fract_z
Ca1 0.168 0.832 0.750
Ca2 0.832 0.168 0.250
Pt1 0.500 0.500 0.000
Pt2 0.500 0.500 0.500
O1 0.214 0.414 0.163
O2 0.215 0.295 0.333
O3 0.295 0.215 0.833
O4 0.299 0.584 0.663
O5 0.414 0.214 0.663
O6 0.416 0.701 0.837
O7 0.584 0.299 0.163
O8 0.586 0.786 0.337
O9 0.701 0.416 0.337
O10 0.705 0.785 0.167
O11 0.785 0.705 0.667
O12 0.786 0.586 0.837
```



(6)
# Zr3NiSb7
Theoretical PXRD pattern, Cu Kα (λ = 1.5418 Å). Input: DFT lattice parameters and positions (PBE).
Intensities are scaled so that the largest is 100.

Top 6 peaks for 10° ≤ 2θ ≤ 90°, low angle first:
| 2θ/deg | d_spacing | I/Imax |
| --- | --- | --- |
| 30.30 | 2.949 | 28 |
| 32.93 | 2.720 | 46 |
| 33.88 | 2.646 | 100 |
| 38.59 | 2.333 | 23 |
| 38.88 | 2.316 | 28 |
| 45.77 | 1.982 | 33 |

```
data_Zr3NiSb7
_space_group_name_H-M_alt 'P 1'
_space_group_IT_number 1
_cell_length_a 17.674
_cell_length_b 3.965
_cell_length_c 14.509
_cell_angle_alpha 90.00
_cell_angle_beta 90.00
_cell_angle_gamma 90.00
loop_
_space_group_symop_operation_xyz
'x,y,z'
loop_
_atom_site_label
_atom_site_fract_x
_atom_site_fract_y
_atom_site_fract_z
Zr1 0.108 0.250 0.090
Zr2 0.130 0.250 0.529
Zr3 0.154 0.250 0.809
Zr4 0.346 0.750 0.309
Zr5 0.370 0.750 0.029
Zr6 0.392 0.750 0.590
Zr7 0.608 0.250 0.410
Zr8 0.630 0.250 0.971
Zr9 0.654 0.250 0.691
Zr10 0.846 0.750 0.191
Zr11 0.870 0.750 0.471
Zr12 0.892 0.750 0.910
Ni1 0.063 0.250 0.311
Ni2 0.437 0.750 0.811
Ni3 0.563 0.250 0.189
Ni4 0.937 0.750 0.689
Sb1 0.022 0.750 0.202
Sb2 0.037 0.750 0.423
Sb3 0.071 0.750 0.940
Sb4 0.091 0.750 0.675
Sb5 0.210 0.250 0.315
Sb6 0.228 0.750 0.146
Sb7 0.248 0.750 0.479
Sb8 0.252 0.250 0.979
Sb9 0.272 0.250 0.646
Sb10 0.290 0.750 0.815
Sb11 0.409 0.250 0.175
Sb12 0.429 0.250 0.440
Sb13 0.463 0.250 0.923
Sb14 0.478 0.250 0.702
Sb15 0.522 0.750 0.298
Sb16 0.537 0.750 0.077
Sb17 0.571 0.750 0.560
Sb18 0.591 0.750 0.825
Sb19 0.710 0.250 0.185
Sb20 0.728 0.750 0.354
Sb21 0.748 0.750 0.021
Sb22 0.752 0.250 0.521
Sb23 0.772 0.250 0.854
Sb24 0.790 0.750 0.685
Sb25 0.909 0.250 0.325
Sb26 0.929 0.250 0.060
Sb27 0.963 0.250 0.577
Sb28 0.978 0.250 0.798
```



(7)
# Li7Ge2
Theoretical PXRD pattern, Cu Kα (λ = 1.5418 Å). Input: DFT lattice parameters and positions (PBE).
Intensities are scaled so that the largest is 100.

Top 6 peaks for 10° ≤ 2θ ≤ 90°, low angle first:
| 2θ/deg | d_spacing | I/Imax |
| --- | --- | --- |
| 22.36 | 3.977 | 89 |
| 23.07 | 3.855 | 67 |
| 23.99 | 3.710 | 83 |
| 27.77 | 3.212 | 38 |
| 29.86 | 2.992 | 35 |
| 41.09 | 2.197 | 100 |

```
data_Li7Ge2
_space_group_name_H-M_alt 'P 1'
_space_group_IT_number 1
_cell_length_a 8.060
_cell_length_b 8.060
_cell_length_c 4.481
_cell_angle_alpha 90.00
_cell_angle_beta 90.00
_cell_angle_gamma 110.27
loop_
_space_group_symop_operation_xyz
'x,y,z'
loop_
_atom_site_label
_atom_site_fract_x
_atom_site_fract_y
_atom_site_fract_z
Li1 0.000 0.000 0.000
Li2 0.020 0.343 0.000
Li3 0.173 0.827 0.500
Li4 0.183 0.499 0.500
Li5 0.340 0.340 0.000
Li6 0.343 0.020 0.000
Li7 0.499 0.183 0.500
Li8 0.500 0.500 0.500
Li9 0.501 0.817 0.500
Li10 0.657 0.980 0.000
Li11 0.660 0.660 0.000
Li12 0.817 0.501 0.500
Li13 0.827 0.173 0.500
Li14 0.980 0.657 0.000
Ge1 0.155 0.155 0.500
Ge2 0.322 0.678 0.000
Ge3 0.678 0.322 0.000
Ge4 0.845 0.845 0.500
```



(8)
# YIn
Theoretical PXRD pattern, Cu Kα (λ = 1.5418 Å). Input: DFT lattice parameters and positions (PBE).
Intensities are scaled so that the largest is 100.

Top 6 peaks for 10° ≤ 2θ ≤ 90°, low angle first:
| 2θ/deg | d_spacing | I/Imax |
| --- | --- | --- |
| 32.91 | 2.722 | 100 |
| 36.01 | 2.494 | 39 |
| 42.24 | 2.139 | 12 |
| 51.84 | 1.764 | 13 |
| 56.68 | 1.624 | 20 |
| 62.78 | 1.480 | 29 |

```
data_YIn
_space_group_name_H-M_alt 'P 1'
_space_group_IT_number 1
_cell_length_a 3.528
_cell_length_b 3.528
_cell_length_c 4.279
_cell_angle_alpha 90.00
_cell_angle_beta 90.00
_cell_angle_gamma 90.00
loop_
_space_group_symop_operation_xyz
'x,y,z'
loop_
_atom_site_label
_atom_site_fract_x
_atom_site_fract_y
_atom_site_fract_z
Y1 0.000 0.000 0.000
In1 0.500 0.500 0.500
```



(9)
# Mg14MnBi
Theoretical PXRD pattern, Cu Kα (λ = 1.5418 Å). Input: DFT lattice parameters and positions (PBE).
Intensities are scaled so that the largest is 100.

Top 6 peaks for 10° ≤ 2θ ≤ 90°, low angle first:
| 2θ/deg | d_spacing | I/Imax |
| --- | --- | --- |
| 16.17 | 5.480 | 56 |
| 18.29 | 4.852 | 40 |
| 23.55 | 3.778 | 46 |
| 32.68 | 2.740 | 31 |
| 34.39 | 2.608 | 26 |
| 37.06 | 2.426 | 100 |

```
data_Mg14MnBi
_space_group_name_H-M_alt 'P 1'
_space_group_IT_number 1
_cell_length_a 6.328
_cell_length_b 6.328
_cell_length_c 10.431
_cell_angle_alpha 90.00
_cell_angle_beta 90.00
_cell_angle_gamma 120.00
loop_
_space_group_symop_operation_xyz
'x,y,z'
loop_
_atom_site_label
_atom_site_fract_x
_atom_site_fract_y
_atom_site_fract_z
Mg1 0.000 0.000 0.248
Mg2 0.000 0.000 0.752
Mg3 0.003 0.501 0.237
Mg4 0.003 0.501 0.763
Mg5 0.331 0.165 0.000
Mg6 0.333 0.167 0.500
Mg7 0.499 0.501 0.237
Mg8 0.499 0.501 0.763
Mg9 0.499 0.997 0.237
Mg10 0.499 0.997 0.763
Mg11 0.833 0.167 0.500
Mg12 0.833 0.667 0.500
Mg13 0.835 0.165 0.000
Mg14 0.835 0.669 0.000
Mn1 0.333 0.667 0.000
Bi1 0.333 0.667 0.500
```